Entry 1:
The following is a theoretical powder X-ray diffraction pattern of InTeCl. It was derived from a cell relaxed with PBE, using Cu Ka.
Neutral-atom scattering factors, no anomalous dispersion.

Largest 10 diffraction maxima, by intensity, 15 to 90 degrees two-theta:
| 2θ (°) | d (Å) | I_rel |
| --- | --- | --- |
| 25.2 | 3.533 | 1000 |
| 29.5 | 3.030 | 990 |
| 23.6 | 3.763 | 591 |
| 22.6 | 3.936 | 531 |
| 29.2 | 3.054 | 500 |
| 27.3 | 3.272 | 457 |
| 26.5 | 3.361 | 415 |
| 37.4 | 2.402 | 411 |
| 42.8 | 2.111 | 405 |
| 28.1 | 3.173 | 390 |

Structural model:
Cell lengths 12.4498, 17.4893, 7.5883 Å; angles 90.00, 103.22, 90.00 degrees
Space group C2/c (No. 15)
Unique sites:
1 In 0.0000 0.1075 0.2500
2 In 0.2104 0.4585 0.3357
3 Te 0.0000 0.0785 0.7500
4 Te 0.2337 0.0964 0.9760
5 Cl 0.0000 0.4820 0.2500
6 Cl 0.2423 0.3558 0.5559


Entry 2:
The following is a theoretical powder X-ray diffraction pattern of InTe2Cl. It was derived from a cell relaxed with PBE, using Cu Ka.
Neutral-atom scattering factors, no anomalous dispersion.

Largest 10 diffraction maxima, by intensity, 15 to 90 degrees two-theta:
| 2θ (°) | d (Å) | I_rel |
| --- | --- | --- |
| 29.6 | 3.023 | 1000 |
| 28.3 | 3.152 | 684 |
| 24.4 | 3.651 | 469 |
| 40.4 | 2.232 | 456 |
| 27.3 | 3.266 | 323 |
| 49.5 | 1.840 | 261 |
| 40.9 | 2.205 | 255 |
| 39.3 | 2.295 | 229 |
| 37.2 | 2.417 | 226 |
| 35.6 | 2.519 | 223 |

Structural model:
Cell lengths 8.0531, 5.5849, 12.0537 Å; angles 90.00, 90.00, 90.00 degrees
Space group Pnna (No. 52)
Unique sites:
1 In 0.2500 0.0000 0.0782
2 Te 0.0517 0.1745 0.5736
3 Cl 0.1205 0.2500 0.2500


Entry 3:
The following is a theoretical powder X-ray diffraction pattern of TiIn3Cl6. It was derived from a cell relaxed with PBE, using Cu Ka.
Neutral-atom scattering factors, no anomalous dispersion.

Largest 10 diffraction maxima, by intensity, 15 to 90 degrees two-theta:
| 2θ (°) | d (Å) | I_rel |
| --- | --- | --- |
| 24.2 | 3.681 | 1000 |
| 21.1 | 4.208 | 614 |
| 37.7 | 2.387 | 522 |
| 41.3 | 2.186 | 430 |
| 33.0 | 2.717 | 347 |
| 62.0 | 1.496 | 187 |
| 26.8 | 3.326 | 177 |
| 31.5 | 2.837 | 174 |
| 26.0 | 3.428 | 164 |
| 46.4 | 1.956 | 162 |

Structural model:
Cell lengths 8.8386, 10.8672, 13.3030 Å; angles 90.00, 90.00, 90.00 degrees
Space group Fmmm (No. 69)
Unique sites:
1 Ti 0.0000 0.0000 0.0000
2 In 0.0000 0.0000 0.5000
3 In 0.2500 0.2500 0.2500
4 Cl 0.0000 0.2217 0.0000
5 Cl 0.1954 0.0000 0.1290


Entry 4:
The following is a theoretical powder X-ray diffraction pattern of TiIn2Cl5. It was derived from a cell relaxed with PBE, using Cu Ka.
Neutral-atom scattering factors, no anomalous dispersion.

Largest 10 diffraction maxima, by intensity, 15 to 90 degrees two-theta:
| 2θ (°) | d (Å) | I_rel |
| --- | --- | --- |
| 24.3 | 3.670 | 1000 |
| 29.7 | 3.005 | 812 |
| 34.3 | 2.617 | 616 |
| 42.4 | 2.131 | 429 |
| 42.8 | 2.113 | 424 |
| 17.2 | 5.149 | 378 |
| 16.9 | 5.233 | 350 |
| 24.0 | 3.700 | 251 |
| 39.0 | 2.310 | 217 |
| 49.2 | 1.850 | 188 |

Structural model:
Cell lengths 7.4009, 7.4009, 10.2972 Å; angles 90.00, 90.00, 90.00 degrees
Space group I4mm (No. 107)
Unique sites:
1 Ti 0.0000 0.0000 0.0000
2 In 0.0000 0.5000 0.2162
3 Cl 0.0000 0.0000 0.7829
4 Cl 0.2213 0.2213 0.0614


Entry 5:
The following is a theoretical powder X-ray diffraction pattern of Ti2In3Cl9. It was derived from a cell relaxed with PBE, using Cu Ka.
Neutral-atom scattering factors, no anomalous dispersion.

Largest 10 diffraction maxima, by intensity, 15 to 90 degrees two-theta:
| 2θ (°) | d (Å) | I_rel |
| --- | --- | --- |
| 32.7 | 2.736 | 1000 |
| 20.7 | 4.294 | 443 |
| 29.8 | 3.001 | 280 |
| 42.1 | 2.147 | 273 |
| 25.1 | 3.549 | 262 |
| 19.4 | 4.582 | 250 |
| 54.7 | 1.677 | 175 |
| 30.7 | 2.914 | 167 |
| 33.2 | 2.697 | 153 |
| 22.6 | 3.927 | 134 |

Structural model:
Cell lengths 12.2939, 12.2939, 18.0045 Å; angles 90.00, 90.00, 120.00 degrees
Space group R-3c (No. 167, hexagonal axes)
Unique sites:
1 Ti 0.0000 0.0000 0.1662
2 In 0.0000 0.3787 0.2500
3 Cl 0.0000 0.1600 0.7500
4 Cl 0.0017 0.1642 0.0953


Entry 6:
The following is a theoretical powder X-ray diffraction pattern of TiIn2Cl4. It was derived from a cell relaxed with PBE, using Cu Ka.
Neutral-atom scattering factors, no anomalous dispersion.

Largest 10 diffraction maxima, by intensity, 15 to 90 degrees two-theta:
| 2θ (°) | d (Å) | I_rel |
| --- | --- | --- |
| 25.4 | 3.508 | 1000 |
| 24.5 | 3.640 | 994 |
| 33.9 | 2.643 | 886 |
| 36.2 | 2.480 | 880 |
| 50.1 | 1.820 | 444 |
| 44.2 | 2.050 | 425 |
| 63.7 | 1.461 | 419 |
| 33.4 | 2.679 | 383 |
| 52.2 | 1.754 | 286 |
| 27.7 | 3.215 | 274 |

Structural model:
Cell lengths 4.9607, 4.9607, 16.0758 Å; angles 90.00, 90.00, 90.00 degrees
Space group I4/mmm (No. 139)
Unique sites:
1 Ti 0.0000 0.0000 0.0000
2 In 0.0000 0.0000 0.3541
3 Cl 0.0000 0.0000 0.1587
4 Cl 0.0000 0.5000 0.0000


What did the first record say?
The following is a theoretical powder X-ray diffraction pattern of InTeCl. It was derived from a cell relaxed with PBE, using Cu Ka.
Neutral-atom scattering factors, no anomalous dispersion.

Largest 10 diffraction maxima, by intensity, 15 to 90 degrees two-theta:
| 2θ (°) | d (Å) | I_rel |
| --- | --- | --- |
| 25.2 | 3.533 | 1000 |
| 29.5 | 3.030 | 990 |
| 23.6 | 3.763 | 591 |
| 22.6 | 3.936 | 531 |
| 29.2 | 3.054 | 500 |
| 27.3 | 3.272 | 457 |
| 26.5 | 3.361 | 415 |
| 37.4 | 2.402 | 411 |
| 42.8 | 2.111 | 405 |
| 28.1 | 3.173 | 390 |

Structural model:
Cell lengths 12.4498, 17.4893, 7.5883 Å; angles 90.00, 103.22, 90.00 degrees
Space group C2/c (No. 15)
Unique sites:
1 In 0.0000 0.1075 0.2500
2 In 0.2104 0.4585 0.3357
3 Te 0.0000 0.0785 0.7500
4 Te 0.2337 0.0964 0.9760
5 Cl 0.0000 0.4820 0.2500
6 Cl 0.2423 0.3558 0.5559